# Ac6PmPd4
Simulated X-ray powder pattern, copper Kα. Input: a crystal structure in Alexandria, relaxed with PBE.

Structural model:
Lattice parameters (Å, degrees): 6.4250 6.4250 9.8568 106.91 106.91 95.94
Fractional coordinates of all 11 atoms:
Ac (0.0000, 0.0000, 0.0000)
Ac (0.0881, 0.5921, 0.6642)
Ac (0.1741, 0.6299, 0.2860)
Ac (0.5191, 0.5191, 0.9987)
Ac (0.5921, 0.0881, 0.6642)
Ac (0.6299, 0.1741, 0.2860)
Pm (0.0538, 0.0538, 0.5884)
Pd (0.1689, 0.1689, 0.3472)
Pd (0.4608, 0.9885, 0.9304)
Pd (0.6967, 0.6967, 0.3470)
Pd (0.9885, 0.4608, 0.9304)

Principal peaks in the range 2θ = 10–90°, in order of rising 2θ:
d = 3.250 Å, I 32
d = 3.006 Å, I 100
d = 2.959 Å, I 40
d = 2.593 Å, I 55
d = 2.386 Å, I 30
d = 2.151 Å, I 23

# MgH8C6S2N2O8
Simulated X-ray powder pattern, copper Kα. Input: a crystal structure in Alexandria, relaxed with PBE.

Structural model:
Lattice parameters (Å, degrees): 5.1673 7.4704 8.4528 82.65 80.78 71.14
Fractional coordinates of all 27 atoms:
Mg (0.0000, 0.0000, 0.0000)
H (0.2379, 0.6274, 0.0975)
H (0.2631, 0.2091, 0.7794)
H (0.4656, 0.7006, 0.9835)
H (0.4925, 0.0173, 0.8300)
H (0.5075, 0.9827, 0.1700)
H (0.5344, 0.2994, 0.0165)
H (0.7369, 0.7909, 0.2206)
H (0.7621, 0.3726, 0.9025)
C (0.0968, 0.2917, 0.2038)
C (0.1485, 0.6225, 0.6782)
C (0.4737, 0.4170, 0.5375)
C (0.5263, 0.5830, 0.4625)
C (0.8515, 0.3775, 0.3218)
C (0.9032, 0.7083, 0.7962)
S (0.2955, 0.7769, 0.5513)
S (0.7045, 0.2231, 0.4487)
N (0.2610, 0.4392, 0.6579)
N (0.7390, 0.5608, 0.3421)
O (0.1458, 0.1162, 0.1851)
O (0.2401, 0.3950, 0.1356)
O (0.2827, 0.7444, 0.0512)
O (0.2910, 0.0774, 0.8287)
O (0.7090, 0.9226, 0.1713)
O (0.7173, 0.2556, 0.9488)
O (0.7599, 0.6050, 0.8644)
O (0.8542, 0.8838, 0.8149)

Principal peaks in the range 2θ = 10–90°, in order of rising 2θ:
d = 5.172 Å, I 90
d = 4.474 Å, I 38
d = 3.445 Å, I 100
d = 3.375 Å, I 79
d = 2.878 Å, I 34
d = 2.427 Å, I 33

# Nb2Ru3
Simulated X-ray powder pattern, copper Kα. Input: a crystal structure in Alexandria, relaxed with PBE.

Structural model:
Lattice parameters (Å, degrees): 6.9163 6.9163 6.9163 132.21 66.17 137.07
Fractional coordinates of all 10 atoms:
Nb (0.1810, 0.1926, 0.3736)
Nb (0.3190, 0.6926, 0.0116)
Nb (0.6810, 0.3074, 0.9884)
Nb (0.8190, 0.8074, 0.6264)
Ru (0.0997, 0.6436, 0.7433)
Ru (0.2500, 0.2500, 0.0000)
Ru (0.4003, 0.1436, 0.5440)
Ru (0.5997, 0.8564, 0.4560)
Ru (0.7500, 0.7500, 0.0000)
Ru (0.9003, 0.3564, 0.2567)

Principal peaks in the range 2θ = 10–90°, in order of rising 2θ:
d = 2.531 Å, I 39
d = 2.398 Å, I 83
d = 2.294 Å, I 100
d = 2.262 Å, I 41
d = 2.142 Å, I 45
d = 1.261 Å, I 41

# BaPa3Cu4S12
Simulated X-ray powder pattern, copper Kα. Input: a crystal structure in Alexandria, relaxed with PBE.

Structural model:
Lattice parameters (Å, degrees): 8.5320 8.5320 8.5320 105.24 105.24 105.24
Fractional coordinates of all 20 atoms:
Ba (0.0000, 0.0000, 0.0000)
Pa (0.0000, 0.5590, 0.4410)
Pa (0.4410, 0.0000, 0.5590)
Pa (0.5590, 0.4410, 0.0000)
Cu (0.0701, 0.5000, 0.9299)
Cu (0.5000, 0.5000, 0.5000)
Cu (0.5000, 0.9299, 0.0701)
Cu (0.9299, 0.0701, 0.5000)
S (0.0241, 0.6505, 0.7625)
S (0.0952, 0.9048, 0.5000)
S (0.2375, 0.3495, 0.9759)
S (0.3388, 0.6612, 0.5000)
S (0.3495, 0.9759, 0.2375)
S (0.5000, 0.0952, 0.9048)
S (0.5000, 0.3388, 0.6612)
S (0.6505, 0.7625, 0.0241)
S (0.6612, 0.5000, 0.3388)
S (0.7625, 0.0241, 0.6505)
S (0.9048, 0.5000, 0.0952)
S (0.9759, 0.2375, 0.3495)

Principal peaks in the range 2θ = 10–90°, in order of rising 2θ:
d = 6.780 Å, I 32
d = 5.086 Å, I 41
d = 4.068 Å, I 43
d = 3.845 Å, I 100
d = 2.743 Å, I 37
d = 1.881 Å, I 36

# LaTl2HW
Simulated X-ray powder pattern, copper Kα. Input: a crystal structure in Alexandria, relaxed with PBE.

Structural model:
Lattice parameters (Å, degrees): 4.7377 4.7377 4.5944 90.00 90.00 90.00
Fractional coordinates of all 5 atoms:
La (0.0000, 0.0000, 0.0000)
Tl (0.0000, 0.5000, 0.5000)
Tl (0.5000, 0.0000, 0.5000)
H (0.0000, 0.0000, 0.5000)
W (0.5000, 0.5000, 0.0000)

Principal peaks in the range 2θ = 10–90°, in order of rising 2θ:
d = 2.707 Å, I 100
d = 2.369 Å, I 35
d = 2.297 Å, I 16
d = 1.649 Å, I 23
d = 1.424 Å, I 29
d = 1.393 Å, I 13

What did the first record say?
# Ac6PmPd4
Simulated X-ray powder pattern, copper Kα. Input: a crystal structure in Alexandria, relaxed with PBE.

Structural model:
Lattice parameters (Å, degrees): 6.4250 6.4250 9.8568 106.91 106.91 95.94
Fractional coordinates of all 11 atoms:
Ac (0.0000, 0.0000, 0.0000)
Ac (0.0881, 0.5921, 0.6642)
Ac (0.1741, 0.6299, 0.2860)
Ac (0.5191, 0.5191, 0.9987)
Ac (0.5921, 0.0881, 0.6642)
Ac (0.6299, 0.1741, 0.2860)
Pm (0.0538, 0.0538, 0.5884)
Pd (0.1689, 0.1689, 0.3472)
Pd (0.4608, 0.9885, 0.9304)
Pd (0.6967, 0.6967, 0.3470)
Pd (0.9885, 0.4608, 0.9304)

Principal peaks in the range 2θ = 10–90°, in order of rising 2θ:
d = 3.250 Å, I 32
d = 3.006 Å, I 100
d = 2.959 Å, I 40
d = 2.593 Å, I 55
d = 2.386 Å, I 30
d = 2.151 Å, I 23